# 1
# Rb2W3O12
Simulated powder diffractogram, a wavelength of 1.5418 Å. Input: a DFT-relaxed cell (PBE+U, Alexandria).

Structural model:
Cell: 7.841 7.841 7.841 Å, 55.00 55.00 55.00°
Fractional coordinates of all 17 atoms:
Rb  0.117  0.117  0.117
Rb  0.883  0.883  0.883
W  0.000  0.500  0.500
W  0.500  0.000  0.500
W  0.500  0.500  0.000
O  0.022  0.354  0.354
O  0.232  0.232  0.613
O  0.232  0.613  0.232
O  0.354  0.022  0.354
O  0.354  0.354  0.022
O  0.387  0.768  0.768
O  0.613  0.232  0.232
O  0.646  0.646  0.978
O  0.646  0.978  0.646
O  0.768  0.387  0.768
O  0.768  0.768  0.387
O  0.978  0.646  0.646

Peak list (8 most intense, 10° ≤ 2θ ≤ 80°, by intensity)
2theta	Rel. int.
13.35	100
28.82	87
29.88	43
22.82	35
28.08	35
16.71	33
42.94	23
50.41	22

***

# 2
# Rb2W3O10
Simulated powder diffractogram, a wavelength of 1.5418 Å. Input: a DFT-relaxed cell (PBE+U, Alexandria).

Structural model:
Cell: 9.782 9.782 9.812 Å, 111.81 111.81 36.08°
Fractional coordinates of all 30 atoms:
Rb  0.094  0.094  0.223
Rb  0.197  0.197  0.856
Rb  0.803  0.803  0.144
Rb  0.906  0.906  0.777
W  0.254  0.746  0.500
W  0.315  0.315  0.490
W  0.405  0.405  0.932
W  0.595  0.595  0.068
W  0.685  0.685  0.510
W  0.746  0.254  0.500
O  0.000  0.500  0.500
O  0.030  0.030  0.639
O  0.129  0.578  0.975
O  0.175  0.623  0.508
O  0.280  0.280  0.295
O  0.302  0.698  0.000
O  0.366  0.366  0.723
O  0.377  0.825  0.492
O  0.422  0.871  0.025
O  0.468  0.468  0.358
O  0.500  0.000  0.500
O  0.532  0.532  0.642
O  0.578  0.129  0.975
O  0.623  0.175  0.508
O  0.634  0.634  0.277
O  0.698  0.302  0.000
O  0.720  0.720  0.705
O  0.825  0.377  0.492
O  0.871  0.422  0.025
O  0.970  0.970  0.361

Peak list (8 most intense, 10° ≤ 2θ ≤ 80°, by intensity)
2theta	Rel. int.
23.47	100
19.66	86
28.89	57
28.15	56
26.29	50
31.33	43
31.60	42
15.51	35

***

# 3
# RbW4O12
Simulated powder diffractogram, a wavelength of 1.5418 Å. Input: a DFT-relaxed cell (PBE+U, Alexandria).

Structural model:
Cell: 10.796 10.796 10.796 Å, 139.16 105.75 88.40°
Fractional coordinates of all 51 atoms:
Rb  0.000  0.000  0.000
Rb  0.284  0.284  0.000
Rb  0.716  0.716  0.000
W  0.125  0.125  0.500
W  0.125  0.625  0.000
W  0.125  0.625  0.500
W  0.375  0.375  0.500
W  0.375  0.875  0.000
W  0.376  0.876  0.500
W  0.624  0.124  0.500
W  0.625  0.125  0.000
W  0.625  0.625  0.500
W  0.875  0.375  0.000
W  0.875  0.375  0.500
W  0.875  0.875  0.500
O  0.000  0.000  0.500
O  0.000  0.500  0.000
O  0.000  0.500  0.500
O  0.020  0.441  0.211
O  0.020  0.808  0.578
O  0.086  0.875  0.210
O  0.162  0.374  0.788
O  0.230  0.441  0.422
O  0.230  0.808  0.789
O  0.249  0.249  0.499
O  0.249  0.751  0.000
O  0.250  0.750  0.500
O  0.268  0.056  0.576
O  0.268  0.692  0.212
O  0.335  0.125  0.210
O  0.413  0.626  0.788
O  0.480  0.056  0.788
O  0.480  0.692  0.424
O  0.500  0.000  0.000
O  0.500  0.000  0.500
O  0.500  0.500  0.500
O  0.520  0.308  0.576
O  0.520  0.944  0.212
O  0.587  0.374  0.212
O  0.665  0.875  0.790
O  0.732  0.308  0.788
O  0.732  0.944  0.424
O  0.750  0.250  0.500
O  0.751  0.249  0.000
O  0.751  0.751  0.501
O  0.770  0.192  0.211
O  0.770  0.559  0.578
O  0.838  0.626  0.212
O  0.914  0.125  0.790
O  0.980  0.192  0.422
O  0.980  0.559  0.789

Peak list (8 most intense, 10° ≤ 2θ ≤ 80°, by intensity)
2theta	Rel. int.
27.36	100
36.02	42
22.98	40
13.58	30
26.79	29
55.20	24
54.19	18
48.37	17

***

# 4
# RbW6O18
Simulated powder diffractogram, a wavelength of 1.5418 Å. Input: a DFT-relaxed cell (PBE+U, Alexandria).

Structural model:
Cell: 8.454 8.454 8.454 Å, 127.22 125.62 79.21°
Fractional coordinates of all 25 atoms:
Rb  0.000  0.000  0.000
W  0.000  0.000  0.500
W  0.000  0.500  0.000
W  0.250  0.500  0.750
W  0.500  0.000  0.000
W  0.500  0.500  0.500
W  0.750  0.500  0.250
O  0.000  0.500  0.500
O  0.025  0.788  0.238
O  0.141  0.212  0.566
O  0.141  0.576  0.929
O  0.252  0.512  0.260
O  0.252  0.992  0.740
O  0.353  0.424  0.566
O  0.353  0.788  0.929
O  0.450  0.212  0.238
O  0.500  0.500  0.000
O  0.550  0.788  0.762
O  0.647  0.212  0.071
O  0.647  0.576  0.434
O  0.748  0.008  0.260
O  0.748  0.488  0.740
O  0.859  0.424  0.071
O  0.859  0.788  0.434
O  0.975  0.212  0.762

Peak list (8 most intense, 10° ≤ 2θ ≤ 80°, by intensity)
2theta	Rel. int.
27.40	100
36.08	46
23.02	44
13.60	42
26.83	29
55.30	29
48.43	25
54.28	20

***

# 5
# Rb3WO6
Simulated powder diffractogram, a wavelength of 1.5418 Å. Input: a DFT-relaxed cell (PBE+U, Alexandria).

Structural model:
Cell: 6.728 6.728 10.860 Å, 90.00 90.00 120.00°
Fractional coordinates of all 20 atoms:
Rb  0.000  0.000  0.000
Rb  0.000  0.000  0.500
Rb  0.333  0.667  0.087
Rb  0.333  0.667  0.413
Rb  0.667  0.333  0.587
Rb  0.667  0.333  0.913
W  0.333  0.667  0.750
W  0.667  0.333  0.250
O  0.125  0.409  0.648
O  0.125  0.717  0.852
O  0.283  0.409  0.852
O  0.283  0.875  0.648
O  0.409  0.125  0.352
O  0.409  0.283  0.148
O  0.591  0.717  0.648
O  0.591  0.875  0.852
O  0.717  0.125  0.148
O  0.717  0.591  0.352
O  0.875  0.283  0.352
O  0.875  0.591  0.148

Peak list (8 most intense, 10° ≤ 2θ ≤ 80°, by intensity)
2theta	Rel. int.
26.49	100
29.04	79
48.38	44
39.71	41
17.27	40
22.38	35
46.77	24
15.21	23

***

# 6
# RbYbW2O8
Simulated powder diffractogram, a wavelength of 1.5418 Å. Input: a DFT-relaxed cell (PBE+U, Alexandria).

Structural model:
Cell: 7.778 7.778 7.491 Å, 117.96 117.96 87.96°
Fractional coordinates of all 24 atoms:
Rb  0.207  0.793  0.750
Rb  0.793  0.207  0.250
Yb  0.223  0.777  0.250
Yb  0.777  0.223  0.750
W  0.302  0.310  0.295
W  0.310  0.302  0.795
W  0.690  0.698  0.205
W  0.698  0.690  0.705
O  0.045  0.253  0.709
O  0.053  0.340  0.121
O  0.253  0.045  0.209
O  0.255  0.375  0.563
O  0.340  0.053  0.621
O  0.375  0.255  0.063
O  0.380  0.600  0.042
O  0.400  0.620  0.458
O  0.600  0.380  0.542
O  0.620  0.400  0.958
O  0.625  0.745  0.937
O  0.660  0.947  0.379
O  0.745  0.625  0.437
O  0.747  0.955  0.791
O  0.947  0.660  0.879
O  0.955  0.747  0.291

Peak list (8 most intense, 10° ≤ 2θ ≤ 80°, by intensity)
2theta	Rel. int.
26.71	100
29.02	100
31.49	35
26.90	28
32.24	25
32.71	23
33.17	21
46.39	19

***

# 7
# Rb2ZrW3O12
Simulated powder diffractogram, a wavelength of 1.5418 Å. Input: a DFT-relaxed cell (PBE+U, Alexandria).

Structural model:
Cell: 7.529 7.529 7.529 Å, 59.17 59.17 59.17°
Fractional coordinates of all 18 atoms:
Rb  0.132  0.132  0.132
Rb  0.868  0.868  0.868
Zr  0.500  0.500  0.500
W  0.000  0.500  0.500
W  0.500  0.000  0.500
W  0.500  0.500  0.000
O  0.168  0.567  0.567
O  0.192  0.192  0.563
O  0.192  0.563  0.192
O  0.433  0.433  0.832
O  0.433  0.832  0.433
O  0.437  0.808  0.808
O  0.563  0.192  0.192
O  0.567  0.168  0.567
O  0.567  0.567  0.168
O  0.808  0.437  0.808
O  0.808  0.808  0.437
O  0.832  0.433  0.433

Peak list (8 most intense, 10° ≤ 2θ ≤ 80°, by intensity)
2theta	Rel. int.
28.01	100
29.37	97
28.13	96
14.32	65
14.56	62
49.01	48
48.37	45
28.87	41

***

Please write out number 7 again, unchanged.
# Rb2ZrW3O12
Simulated powder diffractogram, a wavelength of 1.5418 Å. Input: a DFT-relaxed cell (PBE+U, Alexandria).

Structural model:
Cell: 7.529 7.529 7.529 Å, 59.17 59.17 59.17°
Fractional coordinates of all 18 atoms:
Rb  0.132  0.132  0.132
Rb  0.868  0.868  0.868
Zr  0.500  0.500  0.500
W  0.000  0.500  0.500
W  0.500  0.000  0.500
W  0.500  0.500  0.000
O  0.168  0.567  0.567
O  0.192  0.192  0.563
O  0.192  0.563  0.192
O  0.433  0.433  0.832
O  0.433  0.832  0.433
O  0.437  0.808  0.808
O  0.563  0.192  0.192
O  0.567  0.168  0.567
O  0.567  0.567  0.168
O  0.808  0.437  0.808
O  0.808  0.808  0.437
O  0.832  0.433  0.433

Peak list (8 most intense, 10° ≤ 2θ ≤ 80°, by intensity)
2theta	Rel. int.
28.01	100
29.37	97
28.13	96
14.32	65
14.56	62
49.01	48
48.37	45
28.87	41

***

Copy entry 3 word for word.
# RbW4O12
Simulated powder diffractogram, a wavelength of 1.5418 Å. Input: a DFT-relaxed cell (PBE+U, Alexandria).

Structural model:
Cell: 10.796 10.796 10.796 Å, 139.16 105.75 88.40°
Fractional coordinates of all 51 atoms:
Rb  0.000  0.000  0.000
Rb  0.284  0.284  0.000
Rb  0.716  0.716  0.000
W  0.125  0.125  0.500
W  0.125  0.625  0.000
W  0.125  0.625  0.500
W  0.375  0.375  0.500
W  0.375  0.875  0.000
W  0.376  0.876  0.500
W  0.624  0.124  0.500
W  0.625  0.125  0.000
W  0.625  0.625  0.500
W  0.875  0.375  0.000
W  0.875  0.375  0.500
W  0.875  0.875  0.500
O  0.000  0.000  0.500
O  0.000  0.500  0.000
O  0.000  0.500  0.500
O  0.020  0.441  0.211
O  0.020  0.808  0.578
O  0.086  0.875  0.210
O  0.162  0.374  0.788
O  0.230  0.441  0.422
O  0.230  0.808  0.789
O  0.249  0.249  0.499
O  0.249  0.751  0.000
O  0.250  0.750  0.500
O  0.268  0.056  0.576
O  0.268  0.692  0.212
O  0.335  0.125  0.210
O  0.413  0.626  0.788
O  0.480  0.056  0.788
O  0.480  0.692  0.424
O  0.500  0.000  0.000
O  0.500  0.000  0.500
O  0.500  0.500  0.500
O  0.520  0.308  0.576
O  0.520  0.944  0.212
O  0.587  0.374  0.212
O  0.665  0.875  0.790
O  0.732  0.308  0.788
O  0.732  0.944  0.424
O  0.750  0.250  0.500
O  0.751  0.249  0.000
O  0.751  0.751  0.501
O  0.770  0.192  0.211
O  0.770  0.559  0.578
O  0.838  0.626  0.212
O  0.914  0.125  0.790
O  0.980  0.192  0.422
O  0.980  0.559  0.789

Peak list (8 most intense, 10° ≤ 2θ ≤ 80°, by intensity)
2theta	Rel. int.
27.36	100
36.02	42
22.98	40
13.58	30
26.79	29
55.20	24
54.19	18
48.37	17